This entry pairs a crystal structure of BaCuHF6 with its calculated powder X-ray diffraction pattern. Radiation: Cu Kα, 1.54184 Å. Structure: a GGA-PBE-relaxed structure.
Lines closer than 0.1° are merged.

Crystal structure
a = 4.6776 Å, b = 5.0689 Å, c = 5.7785 Å
α = 95.03°, β = 110.81°, γ = 92.03°
Space group P-1 (No. 2)
Symmetry-distinct sites (fractional):
Ba (0.0000, 0.0000, 0.0000) x1
Cu (0.5000, 0.5000, 0.5000) x1
H (0.5000, 0.5000, 0.0000) x1
F (0.1495, 0.5835, 0.2734) x2
F (0.3089, 0.1907, 0.5034) x2
F (0.4680, 0.7061, 0.9272) x2

Principal peaks in the range 10 to 80 degrees two-theta, by angle:
2θ = 21.12°, intensity 100, hkl 1 0 -1
2θ = 22.87°, intensity 62, hkl 0 1 -1
2θ = 25.51°, intensity 51, hkl 0 1 1
2θ = 26.05°, intensity 57, hkl 1 -1 0
2θ = 28.01°, intensity 38, hkl 1 1 0
2θ = 33.37°, intensity 40, hkl 0 0 2
2θ = 38.02°, intensity 49, hkl -1 1 2
2θ = 41.52°, intensity 34, hkl 1 2 -1
2θ = 42.14°, intensity 27, hkl -2 1 1
2θ = 55.62°, intensity 24, hkl 2 1 -3



This entry pairs a crystal structure of BaCuHgF6 with its calculated powder X-ray diffraction pattern. Radiation: Cu Kα, 1.54184 Å. Structure: a GGA-PBE-relaxed structure.
Lines closer than 0.1° are merged.

Crystal structure
a = 6.1276 Å, b = 9.2266 Å, c = 5.7420 Å
α = 90.00°, β = 95.39°, γ = 90.00°
Space group C2 (No. 5)
Symmetry-distinct sites (fractional):
Ba (0.0000, 0.0000, 0.0000) x2
Cu (0.0000, 0.3103, 0.5000) x2
Hg (0.0000, 0.6722, 0.5000) x2
F (0.1573, 0.4583, 0.6833) x4
F (0.1610, 0.1643, 0.6841) x4
F (0.2053, 0.7871, 0.7823) x4

Principal peaks in the range 10 to 80 degrees two-theta, by angle:
2θ = 15.50°, intensity 39, hkl 0 0 1
2θ = 22.46°, intensity 100, hkl 1 1 -1
2θ = 24.31°, intensity 76, hkl 1 1 1
2θ = 24.80°, intensity 95, hkl 0 2 1
2θ = 29.28°, intensity 37, hkl 2 0 0
2θ = 32.61°, intensity 61, hkl 1 3 0
2θ = 37.55°, intensity 37, hkl 2 2 -1
2θ = 41.21°, intensity 32, hkl 2 0 -2
2θ = 44.79°, intensity 32, hkl 1 3 -2
2θ = 46.83°, intensity 37, hkl 1 3 2



This entry pairs a crystal structure of BaLi4Cu3F12 with its calculated powder X-ray diffraction pattern. Radiation: Cu Kα, 1.54184 Å. Structure: a GGA-PBE-relaxed structure.
Lines closer than 0.1° are merged.

Crystal structure
a = 7.6801 Å, b = 7.6801 Å, c = 7.6801 Å
α = 90.00°, β = 90.00°, γ = 90.00°
Space group Im-3 (No. 204)
Symmetry-distinct sites (fractional):
Ba (0.0000, 0.0000, 0.0000) x2
Li (0.2500, 0.2500, 0.2500) x8
Cu (0.0000, 0.0000, 0.5000) x6
F (0.0000, 0.3168, 0.1719) x24

Principal peaks in the range 10 to 80 degrees two-theta, by angle:
2θ = 23.16°, intensity 100, hkl 2 0 0
2θ = 32.99°, intensity 77, hkl 2 2 0
2θ = 37.01°, intensity 28, hkl 3 0 1
2θ = 40.70°, intensity 55, hkl 2 2 2
2θ = 44.12°, intensity 22, hkl 3 1 2
2θ = 47.35°, intensity 25, hkl 4 0 0
2θ = 53.35°, intensity 32, hkl 4 0 2
2θ = 58.91°, intensity 53, hkl 4 2 2
2θ = 74.07°, intensity 28, hkl 6 0 0
2θ = 78.82°, intensity 16, hkl 6 2 0



This entry pairs a crystal structure of BaMgCuF7 with its calculated powder X-ray diffraction pattern. Radiation: Cu Kα, 1.54184 Å. Structure: a GGA-PBE-relaxed structure.
Lines closer than 0.1° are merged.

Crystal structure
a = 5.5817 Å, b = 9.9451 Å, c = 9.6586 Å
α = 90.00°, β = 93.11°, γ = 90.00°
Space group P2_1/c (No. 14)
Symmetry-distinct sites (fractional):
Ba (0.2360, 0.1794, 0.4989) x4
Mg (0.1991, 0.6032, 0.3103) x4
Cu (0.3044, 0.6146, 0.6874) x4
F (0.0283, 0.7145, 0.7503) x4
F (0.1202, 0.5416, 0.1254) x4
F (0.1296, 0.0456, 0.1327) x4
F (0.2385, 0.6894, 0.5016) x4
F (0.3835, 0.5460, 0.8668) x4
F (0.3923, 0.0535, 0.8742) x4
F (0.4764, 0.7208, 0.2471) x4

Principal peaks in the range 10 to 80 degrees two-theta, by angle:
2θ = 25.40°, intensity 100, hkl 1 2 -1
2θ = 26.04°, intensity 18, hkl 1 2 1
2θ = 26.65°, intensity 53, hkl 1 1 2
2θ = 29.19°, intensity 21, hkl 0 1 3
2θ = 32.12°, intensity 20, hkl 2 0 0
2θ = 40.77°, intensity 24, hkl 2 2 -2
2θ = 41.03°, intensity 45, hkl 1 4 1
2θ = 41.63°, intensity 23, hkl 0 2 4
2θ = 52.99°, intensity 19, hkl 3 2 -1
2θ = 54.40°, intensity 18, hkl 1 2 5